# 1
Tb7DyTh3: calculated X-ray powder pattern (Cu Kα, 1.54184 Å), based on a cell relaxed with PBE.
Kinematic intensities with the Lorentz-polarization factor, no thermal factor.

Atomic structure:
a b c (Å): 6.450 6.704 8.663
angles (deg): 101.38 97.13 96.86
Atoms (fractional coordinates):
Tb (0.000, 0.000, 0.000)
Tb (0.072, 0.715, 0.644)
Tb (0.205, 0.231, 0.704)
Tb (0.492, 0.731, 0.925)
Tb (0.508, 0.269, 0.075)
Tb (0.795, 0.769, 0.296)
Tb (0.928, 0.285, 0.356)
Dy (0.000, 0.500, 0.000)
Th (0.326, 0.948, 0.335)
Th (0.500, 0.500, 0.500)
Th (0.674, 0.052, 0.665)

The 8 most intense peaks (2θ from 10° to 90°), by angle:
| 2θ (°) | Rel. int. |
| --- | --- |
| 30.96 | 23 |
| 31.69 | 28 |
| 31.86 | 100 |
| 31.98 | 60 |
| 32.21 | 67 |
| 32.75 | 59 |
| 33.51 | 36 |
| 33.76 | 25 |

# 2
Ag4GeSe5: calculated X-ray powder pattern (Cu Kα, 1.54184 Å), based on a cell relaxed with PBE.
Kinematic intensities with the Lorentz-polarization factor, no thermal factor.

Atomic structure:
a b c (Å): 6.826 6.826 6.826
angles (deg): 99.40 99.40 132.32
Atoms (fractional coordinates):
Ag (0.108, 0.291, 0.398)
Ag (0.291, 0.892, 0.183)
Ag (0.709, 0.108, 0.817)
Ag (0.892, 0.709, 0.602)
Ge (0.539, 0.539, 0.000)
Se (0.215, 0.571, 0.788)
Se (0.426, 0.215, 0.644)
Se (0.571, 0.782, 0.356)
Se (0.782, 0.426, 0.212)
Se (0.990, 0.990, 0.000)

The 8 most intense peaks (2θ from 10° to 90°), by angle:
| 2θ (°) | Rel. int. |
| --- | --- |
| 27.78 | 13 |
| 32.05 | 100 |
| 32.45 | 51 |
| 45.97 | 32 |
| 46.26 | 69 |
| 57.39 | 32 |
| 77.12 | 14 |
| 85.32 | 17 |